No. 1
For Mg6ZrFe, the PBE geometry in Alexandria gives the computed powder X-ray diffraction pattern in this record (Cu Kα (λ = 1.5418 Å)).

Structure:
Cell: 4.8553 6.1263 11.1456 Å, 90.00 90.00 90.00°
Space group Amm2 (No. 38)
Inequivalent atoms, fractional coordinates:
Mg 0.0000 0.0000 0.0000 x2
Mg 0.0000 0.2428 0.2410 x4
Mg 0.5000 0.0000 0.8407 x2
Mg 0.5000 0.2441 0.5884 x4
Zr 0.0000 0.0000 0.4751 x2
Fe 0.5000 0.0000 0.3554 x2

The 10 most intense peaks (15° ≤ 2θ ≤ 90°), low angle first:
2theta  intensity  (hkl)
15.90  30.0  0 0 2
16.51  77.0  0 1 1
33.38  54.4  0 2 2
33.72  21.0  1 1 3
37.03  48.0  2 0 0
37.20  87.8  1 0 4
38.31  100.0  1 2 2
50.70  31.8  2 2 2
67.59  17.3  3 2 2
73.16  21.5  1 4 4

No. 2
For Mn4Fe3, the PBE geometry in Alexandria gives the computed powder X-ray diffraction pattern in this record (Cu Kα (λ = 1.5418 Å)).

Structure:
Cell: 4.5333 4.5333 4.4602 Å, 90.00 90.00 120.00°
Space group P6/mmm (No. 191)
Inequivalent atoms, fractional coordinates:
Mn 0.0000 0.0000 0.2340 x2
Mn 0.3333 0.6667 0.0000 x2
Fe 0.0000 0.5000 0.5000 x3

The 10 most intense peaks (15° ≤ 2θ ≤ 90°), low angle first:
2theta  intensity  (hkl)
39.77  44.7  1 1 0
40.45  16.8  0 0 2
44.85  75.5  1 1 1
46.25  56.2  2 0 0
46.85  100.0  1 0 2
50.82  75.3  2 0 1
75.75  13.8  3 0 1
77.22  39.5  2 1 2
81.15  24.2  2 0 3
85.72  23.7  2 2 0

No. 3
For Mn7Fe3, the PBE geometry in Alexandria gives the computed powder X-ray diffraction pattern in this record (Cu Kα (λ = 1.5418 Å)).

Structure:
Cell: 6.0356 6.0587 6.0384 Å, 90.00 90.18 90.00°
Space group P2_1 (No. 4)
Inequivalent atoms, fractional coordinates:
Mn 0.0495 0.0000 0.0483 x2
Mn 0.1287 0.3261 0.2970 x2
Mn 0.1914 0.9341 0.4413 x2
Mn 0.2025 0.5738 0.6292 x2
Mn 0.2990 0.6757 0.1193 x2
Mn 0.3774 0.9259 0.7991 x2
Mn 0.4502 0.2509 0.5517 x2
Fe 0.0582 0.1838 0.6897 x2
Fe 0.3073 0.3142 0.9393 x2
Fe 0.4391 0.0632 0.1947 x2

The 10 most intense peaks (15° ≤ 2θ ≤ 90°), low angle first:
2theta  intensity  (hkl)
44.97  100.0  2 2 1
45.10  20.0  2 1 2
47.47  22.8  0 3 1
47.62  39.0  3 1 0
49.96  11.8  1 3 1
50.08  17.1  1 1 -3
56.96  6.7  1 2 -3
81.09  12.2  1 4 3
81.20  6.5  1 3 4
86.72  8.0  2 0 -5

No. 4
For Mn12Fe17, the PBE geometry in Alexandria gives the computed powder X-ray diffraction pattern in this record (Cu Kα (λ = 1.5418 Å)).

Structure:
Cell: 8.6060 8.6060 8.6060 Å, 90.00 90.00 90.00°
Space group I-43m (No. 217)
Inequivalent atoms, fractional coordinates:
Mn 0.0906 0.0906 0.7189 x24
Fe 0.0000 0.0000 0.0000 x2
Fe 0.0351 0.3556 0.6444 x24
Fe 0.1783 0.1783 0.1783 x8

The 10 most intense peaks (15° ≤ 2θ ≤ 90°), low angle first:
2theta  intensity  (hkl)
41.99  5.2  4 0 0
44.67  100.0  3 3 0
49.69  21.9  3 3 2
52.06  9.0  4 2 2
54.36  13.6  4 3 1
76.72  4.8  4 4 4
78.61  6.2  5 5 0
82.34  22.8  7 2 1
84.19  3.9  6 4 2
89.72  3.2  6 5 1

No. 5
For Mn7Fe5, the PBE geometry in Alexandria gives the computed powder X-ray diffraction pattern in this record (Cu Kα (λ = 1.5418 Å)).

Structure:
Cell: 2.4483 6.7974 8.1144 Å, 75.79 89.98 88.56°
Space group P-1 (No. 2)
Inequivalent atoms, fractional coordinates:
Mn 0.0000 0.0000 0.0000 x1
Mn 0.0302 0.4079 0.2296 x2
Mn 0.0491 0.2623 0.7393 x2
Mn 0.4808 0.0687 0.2417 x2
Fe 0.1919 0.8325 0.5098 x2
Fe 0.4907 0.6710 0.0182 x2
Fe 0.5000 0.5000 0.5000 x1

The 10 most intense peaks (15° ≤ 2θ ≤ 90°), low angle first:
2theta  intensity  (hkl)
43.75  70.1  1 1 2
45.54  100.0  0 3 -1
46.16  88.0  0 0 4
46.49  59.0  -1 2 1
47.00  82.4  0 3 3
47.15  66.6  1 1 -2
48.21  18.4  1 2 2
63.79  14.6  1 -2 3
66.19  17.9  1 4 1
71.31  16.3  -1 2 5

No. 6
For Mn3Fe13, the PBE geometry in Alexandria gives the computed powder X-ray diffraction pattern in this record (Cu Kα (λ = 1.5418 Å)).

Structure:
Cell: 7.1074 7.0417 7.1660 Å, 90.00 90.00 90.00°
Space group Amm2 (No. 38)
Inequivalent atoms, fractional coordinates:
Mn 0.0000 0.0000 0.0000 x2
Mn 0.2554 0.0000 0.2682 x4
Fe 0.0000 0.0000 0.5076 x2
Fe 0.0000 0.2439 0.2557 x4
Fe 0.2409 0.0000 0.7636 x4
Fe 0.2465 0.2491 0.0155 x8
Fe 0.5000 0.0000 0.0184 x2
Fe 0.5000 0.0000 0.5099 x2
Fe 0.5000 0.2432 0.7652 x4

The 7 most intense peaks (15° ≤ 2θ ≤ 90°), low angle first:
2theta  intensity  (hkl)
44.16  100.0  2 2 2
50.98  15.7  0 0 4
51.43  15.3  4 0 0
51.94  14.9  0 4 0
75.33  8.7  4 0 4
75.75  8.6  0 4 4
76.11  8.5  4 4 0

No. 7
For Mn2Fe3, the PBE geometry in Alexandria gives the computed powder X-ray diffraction pattern in this record (Cu Kα (λ = 1.5418 Å)).

Structure:
Cell: 2.4714 2.4714 30.5522 Å, 90.00 90.00 120.00°
Space group R-3m (No. 166, hexagonal axes)
Inequivalent atoms, fractional coordinates:
Mn 0.0000 0.0000 0.0996 x6
Fe 0.0000 0.0000 0.2991 x6
Fe 0.0000 0.0000 0.5000 x3

The 5 most intense peaks (15° ≤ 2θ ≤ 90°), low angle first:
2theta  intensity  (hkl)
44.48  34.2  0 0 15
44.87  100.0  0 1 5
52.18  61.6  1 0 10
76.63  17.6  0 1 20
77.20  17.3  1 1 0

No. 8
For Mn13Fe3, the PBE geometry in Alexandria gives the computed powder X-ray diffraction pattern in this record (Cu Kα (λ = 1.5418 Å)).

Structure:
Cell: 7.1699 7.0052 7.1669 Å, 90.00 90.00 90.00°
Space group Amm2 (No. 38)
Inequivalent atoms, fractional coordinates:
Mn 0.0000 0.0000 0.0000 x2
Mn 0.0000 0.0000 0.4848 x2
Mn 0.0000 0.2463 0.7420 x4
Mn 0.2518 0.2489 0.4920 x8
Mn 0.2535 0.0000 0.7449 x4
Mn 0.5000 0.0000 0.4846 x2
Mn 0.5000 0.2480 0.7414 x4
Fe 0.2528 0.0000 0.2391 x4
Fe 0.5000 0.0000 0.9979 x2

The 5 most intense peaks (15° ≤ 2θ ≤ 90°), low angle first:
2theta  intensity  (hkl)
44.11  100.0  2 2 2
50.96  31.4  4 0 0
52.23  14.6  0 4 0
74.94  8.8  4 0 4
75.97  17.0  4 4 0

No. 9
For Mn3Fe, the PBE geometry in Alexandria gives the computed powder X-ray diffraction pattern in this record (Cu Kα (λ = 1.5418 Å)).

Structure:
Cell: 3.5644 3.5644 7.0224 Å, 90.00 90.00 90.00°
Space group I4/mmm (No. 139)
Inequivalent atoms, fractional coordinates:
Mn 0.0000 0.0000 0.0000 x2
Mn 0.0000 0.5000 0.2500 x4
Fe 0.0000 0.0000 0.5000 x2

The 5 most intense peaks (15° ≤ 2θ ≤ 90°), low angle first:
2theta  intensity  (hkl)
44.24  100.0  1 1 2
51.26  31.2  2 0 0
52.10  14.8  0 0 4
75.43  8.8  2 2 0
76.11  17.2  2 0 4

No. 10
For Mn3Fe, the PBE geometry in Alexandria gives the computed powder X-ray diffraction pattern in this record (Cu Kα (λ = 1.5418 Å)).

Structure:
Cell: 2.4792 2.4792 7.9704 Å, 90.00 90.00 120.00°
Space group P-6m2 (No. 187)
Inequivalent atoms, fractional coordinates:
Mn 0.0000 0.0000 0.0000 x1
Mn 0.6667 0.3333 0.2522 x2
Fe 0.0000 0.0000 0.5000 x1

The 6 most intense peaks (15° ≤ 2θ ≤ 90°), low angle first:
2theta  intensity  (hkl)
42.09  25.4  1 0 0
45.52  26.5  0 0 4
48.14  100.0  1 0 2
63.72  13.2  1 0 4
76.91  14.5  1 1 0
86.07  16.0  1 0 6

No. 11
For MnFe, the PBE geometry in Alexandria gives the computed powder X-ray diffraction pattern in this record (Cu Kα (λ = 1.5418 Å)).

Structure:
Cell: 4.2918 3.9219 4.9574 Å, 90.00 90.00 90.00°
Space group Pnma (No. 62)
Inequivalent atoms, fractional coordinates:
Mn 0.0844 0.2500 0.1239 x4
Fe 0.0830 0.2500 0.6258 x4

The 6 most intense peaks (15° ≤ 2θ ≤ 90°), low angle first:
2theta  intensity  (hkl)
42.10  25.7  1 0 2
46.30  25.5  0 2 0
48.34  100.0  2 1 0
64.35  13.0  1 2 2
76.95  14.7  3 0 2
87.34  15.7  2 3 0

No. 12
For Mn5Fe2, the PBE geometry in Alexandria gives the computed powder X-ray diffraction pattern in this record (Cu Kα (λ = 1.5418 Å)).

Structure:
Cell: 10.8796 4.2893 6.3424 Å, 90.00 94.36 90.00°
Space group C2/c (No. 15)
Inequivalent atoms, fractional coordinates:
Mn 0.0000 0.1655 0.2500 x4
Mn 0.1398 0.1670 0.9612 x8
Mn 0.2168 0.3332 0.3242 x8
Fe 0.0713 0.3337 0.6075 x8

The 7 most intense peaks (15° ≤ 2θ ≤ 90°), low angle first:
2theta  intensity  (hkl)
42.14  25.5  3 1 -2
45.70  26.3  4 0 2
48.23  100.0  2 2 1
63.90  13.1  1 1 4
77.03  14.6  6 0 -4
86.36  10.5  6 2 3
86.45  5.3  3 1 5